Structure and calculated X-ray diffraction stick pattern of SrMnFeBiO6 (DFT lattice parameters and positions (GGA+U); Cu Kα (λ = 1.5418 Å)).

Main lines, in order of rising 2θ (2θ = 15–90°):
two_theta  Rel. int.
19.5  33.8
22.6  39.1
32.1  100.0
32.3  94.5
37.9  23.8
39.7  27.1
46.2  55.4
57.4  39.1

Cell and atoms:
```
SrMnFeBiO6
1.0
2.7857 1.6083 4.5088
-2.7857 1.6083 4.5088
0.0000 -3.2166 4.5088
Sr Mn Fe Bi O
1 1 1 1 6
Cartesian
0.0000 0.0000 0.0000
0.0000 0.0000 3.4107
0.0000 0.0000 10.1941
0.0000 0.0000 6.4774
-1.4427 -0.5249 4.6614
-1.1863 -2.1227 6.8502
1.1759 -0.9869 4.6614
-1.2452 2.0888 6.8502
0.2668 1.5118 4.6614
2.4315 0.0340 6.8502
```